Starting from DFT lattice parameters and positions (PBE), the powder diffractogram of LiCd9Ag2 was computed for Cu Kα (λ = 1.5418 Å).

Structural model:
```
data_LiCd9Ag2
_symmetry_space_group_name_H-M 'P -1'
_symmetry_Int_Tables_number 2
_symmetry_space_group_name_Hall '-P 1'
_cell_length_a 5.3694
_cell_length_b 6.7088
_cell_length_c 7.0688
_cell_angle_alpha 83.35
_cell_angle_beta 82.52
_cell_angle_gamma 82.68
loop_
_atom_site_label
_atom_site_fract_x
_atom_site_fract_y
_atom_site_fract_z
Li1 0.0000 0.0000 0.0000
Cd1 0.0075 0.6822 0.3309
Cd2 0.2421 0.2380 0.2559
Cd3 0.2462 0.5951 0.9156
Cd4 0.4859 0.1615 0.8327
Cd5 0.5000 0.5000 0.5000
Ag1 0.2527 0.9141 0.5859
```

Top 10 peaks for 2θ = 15–90°, in order of falling intensity:
- (0 2 2), 2θ 35.46, intensity 100
- (1 -2 1), 2θ 36.27, intensity 31
- (1 0 3), 2θ 40.52, intensity 23
- (-2 1 1), 2θ 41.14, intensity 22
- (1 3 0), 2θ 42.55, intensity 19
- (3 -1 2), 2θ 59.71, intensity 14
- (-1 1 4), 2θ 58.53, intensity 8
- (0 4 4), 2θ 75.08, intensity 7
- (3 2 -1), 2θ 60.13, intensity 6
- (0 3 -3), 2θ 60.72, intensity 6